Entry 1:
Diffraction record for SrYAgBr6. The powder XRD pattern is simulated, not measured: it uses a PBE-relaxed structure and Cu Kα (weighted mean of Kα1 and Kα2).
Kinematic intensities with the Lorentz-polarization factor, no thermal factor.

The 10 most intense peaks (10 to 90 degrees two-theta), by angle:
d = 4.611 Å, 2θ = 19.2°, rel. 48.9, hkl 1 0 2; d = 3.202 Å, 2θ = 27.9°, rel. 100.0, hkl 1 1 2; d = 2.478 Å, 2θ = 36.3°, rel. 75.4, hkl 1 1 4; d = 2.244 Å, 2θ = 40.2°, rel. 16.4, hkl 2 1 2; d = 2.097 Å, 2θ = 43.1°, rel. 46.4, hkl 3 0 0; d = 1.918 Å, 2θ = 47.4°, rel. 23.6, hkl 2 -1 6; d = 1.754 Å, 2θ = 52.1°, rel. 15.4, hkl 4 -2 2; d = 1.601 Å, 2θ = 57.6°, rel. 18.2, hkl 4 -2 4; d = 1.318 Å, 2θ = 71.6°, rel. 19.3, hkl 3 0 8; d = 1.273 Å, 2θ = 74.6°, rel. 16.2, hkl 4 1 4

Structure:
```
18
Lattice="7.2656 0.0000 0.0000 -3.6328 6.2922 0.0000 0.0000 0.0000 13.5547" Properties=species:S:1:pos:R:3 pbc="T T T"
Sr 0.0000 0.0000 0.0000
Sr 0.0000 0.0000 6.7773
Y 0.0000 4.1948 3.3887
Y 3.6328 2.0974 10.1660
Ag 0.0000 4.1948 10.1660
Ag 3.6328 2.0974 3.3887
Br -1.2167 2.2378 1.7613
Br -2.3032 4.1196 5.0161
Br 1.2167 2.2378 5.0161
Br -1.0865 6.2271 1.7613
Br 2.5463 0.0652 8.5386
Br 1.3296 2.1726 11.7934
Br 2.3032 4.1196 1.7613
Br 1.0865 6.2271 5.0161
Br 4.7193 0.0652 11.7934
Br 2.4161 4.0544 8.5386
Br 5.9360 2.1726 8.5386
Br 4.8496 4.0544 11.7934
```

Entry 2:
Diffraction record for Ta3AgBr. The powder XRD pattern is simulated, not measured: it uses a PBE-relaxed structure and Cu Kα (weighted mean of Kα1 and Kα2).
Kinematic intensities with the Lorentz-polarization factor, no thermal factor.

The 10 most intense peaks (10 to 90 degrees two-theta), by angle:
d = 4.722 Å, 2θ = 18.8°, rel. 20.3, hkl 1 0 0; d = 2.726 Å, 2θ = 32.9°, rel. 100.0, hkl 1 1 1; d = 2.361 Å, 2θ = 38.1°, rel. 83.6, hkl 2 0 0; d = 2.112 Å, 2θ = 42.8°, rel. 10.0, hkl 2 1 0; d = 1.670 Å, 2θ = 55.0°, rel. 57.7, hkl 2 2 0; d = 1.574 Å, 2θ = 58.7°, rel. 5.1, hkl 3 0 0; d = 1.424 Å, 2θ = 65.6°, rel. 41.2, hkl 3 1 1; d = 1.363 Å, 2θ = 68.9°, rel. 19.5, hkl 2 2 2; d = 1.181 Å, 2θ = 81.5°, rel. 9.3, hkl 4 0 0; d = 1.145 Å, 2θ = 84.6°, rel. 3.1, hkl 4 1 0

Structure:
```
5
Lattice="4.7221 0.0000 0.0000 0.0000 4.7221 0.0000 0.0000 0.0000 4.7221" Properties=species:S:1:pos:R:3 pbc="T T T"
Ta 0.0000 0.0000 2.3611
Ta 0.0000 2.3611 0.0000
Ta 2.3611 0.0000 0.0000
Ag 2.3611 2.3611 2.3611
Br 0.0000 0.0000 0.0000
```